[1]
Structure and theoretical X-ray diffraction stick pattern of Ag4Br2Cl5 (a GGA-PBE-relaxed structure; λ = 1.5418 Å (Cu Kα)).
Kinematic intensities with the Lorentz-polarization factor, no thermal factor.

Atomic structure:
Unit cell a=6.856 b=7.144 c=7.734 alpha=73.90 beta=65.14 gamma=65.14
Positions (direct):
Ag1 0.125 0.451 0.209
Ag2 0.262 0.888 0.751
Ag3 0.738 0.112 0.249
Ag4 0.875 0.549 0.791
Br1 0.265 0.599 0.576
Br2 0.735 0.401 0.424
Cl1 0.080 0.215 0.939
Cl2 0.305 0.134 0.380
Cl3 0.500 0.500 0.000
Cl4 0.695 0.866 0.620
Cl5 0.920 0.785 0.061

Most intense lines, 10 to 90 degrees two-theta, by angle:
two_theta, intensity
16.08, 69
17.59, 56
19.90, 45
23.91, 69
24.90, 35
25.38, 49
30.34, 100
30.66, 39
32.43, 51
36.50, 54
41.18, 38
42.59, 41

=====

[2]
Structure and theoretical X-ray diffraction stick pattern of Cs2AgBr6Cl (a GGA-PBE-relaxed structure; λ = 1.5418 Å (Cu Kα)).
Kinematic intensities with the Lorentz-polarization factor, no thermal factor.

Atomic structure:
Unit cell a=8.143 b=8.143 c=8.143 alpha=123.55 beta=123.55 gamma=83.95
Positions (direct):
Cs1 0.250 0.750 0.500
Cs2 0.750 0.250 0.500
Ag1 0.000 0.000 0.000
Br1 0.210 0.210 0.000
Br2 0.259 0.259 0.517
Br3 0.259 0.741 0.000
Br4 0.741 0.259 0.000
Br5 0.741 0.741 0.483
Br6 0.790 0.790 0.000
Cl1 0.500 0.500 0.000

Most intense lines, 10 to 90 degrees two-theta, by angle:
two_theta, intensity
13.63, 14
21.95, 37
23.10, 14
27.45, 100
29.51, 42
32.89, 74
39.90, 15
44.77, 51
47.20, 26
55.47, 27
56.65, 25
86.05, 15

=====

[3]
Structure and theoretical X-ray diffraction stick pattern of Cs3Ag2Br2Cl3 (a GGA-PBE-relaxed structure; λ = 1.5418 Å (Cu Kα)).
Kinematic intensities with the Lorentz-polarization factor, no thermal factor.

Atomic structure:
Unit cell a=14.383 b=14.383 c=14.383 alpha=158.95 beta=158.95 gamma=29.94
Positions (direct):
Cs1 0.000 0.000 0.000
Cs2 0.367 0.367 0.000
Cs3 0.633 0.633 0.000
Ag1 0.213 0.213 0.000
Ag2 0.787 0.787 0.000
Br1 0.250 0.750 0.500
Br2 0.750 0.250 0.500
Cl1 0.121 0.121 0.000
Cl2 0.500 0.500 0.000
Cl3 0.879 0.879 0.000

Most intense lines, 10 to 90 degrees two-theta, by angle:
two_theta, intensity
23.30, 94
23.95, 100
25.64, 44
28.17, 44
30.85, 42
34.13, 99
41.73, 41
43.17, 41
44.82, 24
46.19, 26
49.04, 34
52.25, 34

=====

[4]
Structure and theoretical X-ray diffraction stick pattern of CuAgBrCl (a GGA-PBE-relaxed structure; λ = 1.5418 Å (Cu Kα)).
Kinematic intensities with the Lorentz-polarization factor, no thermal factor.

Atomic structure:
Unit cell a=4.017 b=4.104 c=6.122 alpha=90.00 beta=90.00 gamma=90.00
Positions (direct):
Cu1 0.000 0.000 0.000
Ag1 0.500 0.500 0.472
Br1 0.000 0.500 0.772
Cl1 0.500 0.000 0.201

Most intense lines, 10 to 90 degrees two-theta, by angle:
two_theta, intensity
21.65, 12
26.14, 85
26.54, 100
34.51, 17
43.20, 83
44.13, 21
45.14, 20
49.91, 17
52.24, 29
52.91, 22
64.97, 13
69.56, 15

=====

[5]
Structure and theoretical X-ray diffraction stick pattern of CuAg2BrCl3 (a GGA-PBE-relaxed structure; λ = 1.5418 Å (Cu Kα)).
Kinematic intensities with the Lorentz-polarization factor, no thermal factor.

Atomic structure:
Unit cell a=7.779 b=7.779 c=7.779 alpha=59.79 beta=59.79 gamma=59.79
Positions (direct):
Cu1 0.116 0.116 0.116
Cu2 0.884 0.884 0.884
Ag1 0.000 0.500 0.500
Ag2 0.500 0.000 0.500
Ag3 0.500 0.500 0.000
Ag4 0.500 0.500 0.500
Br1 0.247 0.247 0.247
Br2 0.753 0.753 0.753
Cl1 0.244 0.752 0.752
Cl2 0.248 0.248 0.756
Cl3 0.248 0.756 0.248
Cl4 0.752 0.244 0.752
Cl5 0.752 0.752 0.244
Cl6 0.756 0.248 0.248

Most intense lines, 10 to 90 degrees two-theta, by angle:
two_theta, intensity
13.96, 21
22.93, 19
26.92, 100
32.61, 69
42.80, 27
46.71, 45
46.86, 46
58.26, 12
65.33, 11
68.32, 13
77.65, 11
86.95, 14

=====

[6]
Structure and theoretical X-ray diffraction stick pattern of Ag4Br2ClF (a GGA-PBE-relaxed structure; λ = 1.5418 Å (Cu Kα)).
Kinematic intensities with the Lorentz-polarization factor, no thermal factor.

Atomic structure:
Unit cell a=7.879 b=7.879 c=7.872 alpha=119.92 beta=119.92 gamma=89.06
Positions (direct):
Ag1 0.226 0.262 0.494
Ag2 0.246 0.753 0.521
Ag3 0.247 0.754 0.979
Ag4 0.262 0.226 0.994
Ag5 0.738 0.774 0.006
Ag6 0.753 0.246 0.021
Ag7 0.754 0.247 0.479
Ag8 0.774 0.738 0.506
Br1 0.000 0.500 0.000
Br2 0.500 0.000 0.500
Br3 0.500 0.500 0.000
Br4 0.500 0.500 0.500
Cl1 0.000 0.000 0.000
Cl2 0.000 0.000 0.500
F1 0.000 0.500 0.500
F2 0.500 0.000 0.000

Most intense lines, 10 to 90 degrees two-theta, by angle:
two_theta, intensity
27.47, 17
27.83, 15
31.84, 100
32.41, 46
34.97, 10
45.18, 19
46.08, 80
56.69, 17
57.50, 15
76.91, 11
84.06, 10
85.34, 8

=====

[7]
Structure and theoretical X-ray diffraction stick pattern of KAg2Br2Cl (a GGA-PBE-relaxed structure; λ = 1.5418 Å (Cu Kα)).
Kinematic intensities with the Lorentz-polarization factor, no thermal factor.

Atomic structure:
Unit cell a=8.062 b=5.776 c=9.135 alpha=90.00 beta=104.50 gamma=90.00
Positions (direct):
K1 0.193 0.250 0.394
K2 0.807 0.750 0.606
Ag1 0.340 0.001 0.823
Ag2 0.340 0.499 0.823
Ag3 0.660 0.501 0.177
Ag4 0.660 0.999 0.177
Br1 0.050 0.250 0.719
Br2 0.392 0.750 0.587
Br3 0.608 0.250 0.413
Br4 0.950 0.750 0.281
Cl1 0.364 0.750 0.074
Cl2 0.636 0.250 0.926

Most intense lines, 10 to 90 degrees two-theta, by angle:
two_theta, intensity
11.34, 35
13.12, 100
16.93, 20
25.67, 17
27.19, 18
27.59, 24
33.76, 18
34.47, 16
40.54, 32
41.14, 33
41.64, 17
43.87, 21

=====

[8]
Structure and theoretical X-ray diffraction stick pattern of AgPb2BrCl4 (a GGA-PBE-relaxed structure; λ = 1.5418 Å (Cu Kα)).
Kinematic intensities with the Lorentz-polarization factor, no thermal factor.

Atomic structure:
Unit cell a=7.016 b=7.016 c=9.787 alpha=117.73 beta=117.73 gamma=34.24
Positions (direct):
Ag1 0.000 0.000 0.000
Pb1 0.180 0.180 0.748
Pb2 0.820 0.820 0.252
Br1 0.500 0.500 0.500
Cl1 0.177 0.177 0.275
Cl2 0.376 0.376 0.070
Cl3 0.624 0.624 0.930
Cl4 0.823 0.823 0.725

Most intense lines, 10 to 90 degrees two-theta, by angle:
two_theta, intensity
13.54, 63
18.82, 97
22.19, 38
26.64, 80
29.45, 48
31.06, 100
31.36, 67
31.53, 44
35.91, 70
42.29, 28
43.84, 33
44.12, 28

=====

[9]
Structure and theoretical X-ray diffraction stick pattern of PuAgBrCl6 (a GGA-PBE-relaxed structure; λ = 1.5418 Å (Cu Kα)).
Kinematic intensities with the Lorentz-polarization factor, no thermal factor.

Atomic structure:
Unit cell a=6.659 b=6.659 c=7.820 alpha=90.05 beta=90.05 gamma=120.02
Positions (direct):
Pu1 0.000 0.000 0.000
Ag1 0.667 0.333 0.000
Br1 0.334 0.666 0.500
Cl1 0.315 0.307 0.808
Cl2 0.316 0.008 0.192
Cl3 0.692 0.008 0.808
Cl4 0.693 0.685 0.192
Cl5 0.992 0.308 0.192
Cl6 0.992 0.684 0.808

Most intense lines, 10 to 90 degrees two-theta, by angle:
two_theta, intensity
11.31, 80
15.37, 24
19.12, 100
26.78, 28
29.15, 37
33.12, 23
35.41, 73
37.88, 15
43.09, 24
44.12, 19
47.29, 23
54.42, 16

=====

[10]
Structure and theoretical X-ray diffraction stick pattern of Rb3Ag2Br2Cl4 (a GGA-PBE-relaxed structure; λ = 1.5418 Å (Cu Kα)).
Kinematic intensities with the Lorentz-polarization factor, no thermal factor.

Atomic structure:
Unit cell a=14.397 b=14.397 c=14.397 alpha=159.69 beta=159.69 gamma=28.87
Positions (direct):
Rb1 0.000 0.000 0.000
Rb2 0.179 0.179 0.000
Rb3 0.821 0.821 0.000
Ag1 0.404 0.404 0.000
Ag2 0.596 0.596 0.000
Br1 0.304 0.304 0.000
Br2 0.696 0.696 0.000
Cl1 0.080 0.580 0.500
Cl2 0.420 0.920 0.500
Cl3 0.580 0.080 0.500
Cl4 0.920 0.420 0.500

Most intense lines, 10 to 90 degrees two-theta, by angle:
two_theta, intensity
23.70, 71
24.81, 100
25.59, 32
28.48, 53
31.49, 29
32.10, 31
35.37, 98
40.98, 49
43.02, 29
46.01, 31
48.50, 37
50.88, 33

=====

[11]
Structure and theoretical X-ray diffraction stick pattern of Rb3Ag2Br5Cl2 (a GGA-PBE-relaxed structure; λ = 1.5418 Å (Cu Kα)).
Kinematic intensities with the Lorentz-polarization factor, no thermal factor.

Atomic structure:
Unit cell a=14.020 b=14.020 c=14.020 alpha=157.58 beta=157.58 gamma=31.91
Positions (direct):
Rb1 0.000 0.000 0.000
Rb2 0.183 0.183 0.000
Rb3 0.817 0.817 0.000
Ag1 0.399 0.399 0.000
Ag2 0.601 0.601 0.000
Br1 0.095 0.595 0.500
Br2 0.405 0.905 0.500
Br3 0.500 0.500 0.000
Br4 0.595 0.095 0.500
Br5 0.905 0.405 0.500
Cl1 0.304 0.304 0.000
Cl2 0.696 0.696 0.000

Most intense lines, 10 to 90 degrees two-theta, by angle:
two_theta, intensity
13.14, 33
16.59, 20
23.08, 26
23.20, 48
30.56, 55
32.86, 100
33.23, 39
40.62, 23
47.17, 37
47.44, 55
58.91, 28
87.92, 19

=====

[12]
Structure and theoretical X-ray diffraction stick pattern of Rb3Ag2Br2Cl5 (a GGA-PBE-relaxed structure; λ = 1.5418 Å (Cu Kα)).
Kinematic intensities with the Lorentz-polarization factor, no thermal factor.

Atomic structure:
Unit cell a=14.052 b=14.052 c=14.052 alpha=158.63 beta=158.63 gamma=30.40
Positions (direct):
Rb1 0.000 0.000 0.000
Rb2 0.175 0.175 0.000
Rb3 0.825 0.825 0.000
Ag1 0.406 0.406 0.000
Ag2 0.594 0.594 0.000
Br1 0.306 0.306 0.000
Br2 0.694 0.694 0.000
Cl1 0.091 0.591 0.500
Cl2 0.409 0.909 0.500
Cl3 0.500 0.500 0.000
Cl4 0.591 0.091 0.500
Cl5 0.909 0.409 0.500

Most intense lines, 10 to 90 degrees two-theta, by angle:
two_theta, intensity
17.33, 19
23.68, 36
24.15, 92
28.71, 37
31.32, 30
33.03, 27
34.42, 100
41.34, 20
45.42, 21
48.45, 34
49.47, 38
60.75, 26